This entry pairs a crystal structure of Ho12ZrSc2 with its computed X-ray diffraction stick pattern. Radiation: λ = 1.5418 Å (Cu Kα). Structure: the GGA-PBE geometry in Alexandria.
Peak positions follow from Bragg's law for the DFT cell and can differ from measured ones.

The 10 most intense peaks (10 to 80 degrees two-theta), by angle:
d [Å]  I_rel  (hkl)
5.413  26  1 0 0
4.596  21  1 0 2
4.349  40  0 0 4
3.503  58  1 1 2
2.873  41  1 1 4
2.706  100  2 0 0
2.311  91  1 1 6
2.298  31  2 0 4
1.914  36  2 2 0
1.474  45  3 1 6

Cell lengths 5.4130, 5.4130, 17.3971 Å; angles 90.00, 90.00, 90.00 degrees
Space group P4/mmm (No. 123)
Unique sites:
Ho  0.0000  0.0000  0.1710
Ho  0.0000  0.0000  0.3288
Ho  0.0000  0.5000  0.0933
Ho  0.0000  0.5000  0.4013
Zr  0.5000  0.5000  0.0000
Sc  0.5000  0.5000  0.2430